Record 1
Structure and simulated powder XRD pattern of CsLi2AgI4 (the PBE geometry in Alexandria; copper Kα).
Kinematic intensities with the Lorentz-polarization factor, no thermal factor.

Structure:
Lattice parameters (Å, degrees): 7.684 7.698 10.903 90.00 90.00 90.00
Space group I222 (No. 23)
One atom of each set of equivalent atoms:
Cs 0.000 0.000 0.000
Li 0.000 0.500 0.250
Ag 0.000 0.000 0.500
I 0.201 0.202 0.670

Principal peaks in the range 10 to 90 degrees two-theta, in order of rising 2θ:
(1 1 0), 2θ 16.30, 5.438 Å, I = 40.8; (1 1 2), 2θ 23.10, 3.850 Å, I = 100.0; (2 1 1), 2θ 27.18, 3.281 Å, I = 48.1; (0 2 2), 2θ 28.40, 3.142 Å, I = 56.8; (2 2 0), 2θ 32.94, 2.719 Å, I = 32.7; (1 1 4), 2θ 36.89, 2.436 Å, I = 33.4; (0 2 4), 2θ 40.60, 2.222 Å, I = 52.8; (3 0 3), 2θ 43.19, 2.095 Å, I = 16.8; (1 4 1), 2θ 49.54, 1.840 Å, I = 29.4; (0 0 6), 2θ 50.26, 1.815 Å, I = 24.5

---

Record 2
Structure and simulated powder XRD pattern of Ac3Ga2PbO9 (the PBE geometry in Alexandria; copper Kα).
Kinematic intensities with the Lorentz-polarization factor, no thermal factor.

Structure:
Lattice parameters (Å, degrees): 5.7532 5.7532 7.5961 90.00 90.00 120.00
Space group P-3m1 (No. 164)
One atom of each set of equivalent atoms:
Ac 0.0000 0.0000 0.0000
Ac 0.3333 0.6667 0.7300
Ga 0.3333 0.6667 0.1686
Pb 0.0000 0.0000 0.5000
O 0.0000 0.5000 0.0000
O 0.1668 0.3337 0.2949

Principal peaks in the range 10 to 90 degrees two-theta, in order of rising 2θ:
(0 1 1), 2θ 21.33, 4.166 Å, I = 27.1; (0 1 2), 2θ 29.57, 3.021 Å, I = 100.0; (1 1 0), 2θ 31.09, 2.877 Å, I = 90.3; (2 0 2), 2θ 43.44, 2.083 Å, I = 51.1; (1 0 4), 2θ 51.48, 1.775 Å, I = 14.7; (1 2 2), 2θ 54.38, 1.687 Å, I = 38.4; (3 0 0), 2θ 55.32, 1.661 Å, I = 18.7; (1 1 4), 2θ 58.21, 1.585 Å, I = 17.9; (2 2 0), 2θ 64.82, 1.438 Å, I = 15.6; (3 1 2), 2θ 72.85, 1.298 Å, I = 20.3

---

Record 3
Structure and simulated powder XRD pattern of CaTb12Pm7 (the PBE geometry in Alexandria; copper Kα).
Kinematic intensities with the Lorentz-polarization factor, no thermal factor.

Structure:
Lattice parameters (Å, degrees): 11.396 11.396 11.396 90.00 90.00 90.00
Space group Im-3m (No. 229)
One atom of each set of equivalent atoms:
Ca 0.000 0.000 0.000
Tb 0.000 0.254 0.254
Pm 0.000 0.000 0.500
Pm 0.250 0.250 0.250

Principal peaks in the range 10 to 90 degrees two-theta, in order of rising 2θ:
(2 0 0), 2θ 15.55, 5.698 Å, I = 33.2; (2 2 2), 2θ 27.11, 3.290 Å, I = 70.6; (4 0 0), 2θ 31.40, 2.849 Å, I = 100.0; (4 2 0), 2θ 35.22, 2.548 Å, I = 18.1; (4 4 0), 2θ 45.00, 2.015 Å, I = 73.9; (6 2 2), 2θ 53.32, 1.718 Å, I = 32.2; (4 4 4), 2θ 55.90, 1.645 Å, I = 25.8; (6 6 2), 2θ 72.28, 1.307 Å, I = 12.7; (8 4 0), 2θ 74.47, 1.274 Å, I = 32.7; (8 4 4), 2θ 83.03, 1.163 Å, I = 24.6

---

Record 4
Structure and simulated powder XRD pattern of PrNdCuRu (the PBE geometry in Alexandria; copper Kα).
Kinematic intensities with the Lorentz-polarization factor, no thermal factor.

Structure:
Lattice parameters (Å, degrees): 4.359 4.014 10.770 90.00 90.00 90.00
Space group Amm2 (No. 38)
One atom of each set of equivalent atoms:
Pr 0.000 0.000 0.000
Nd 0.500 0.000 0.280
Cu 0.500 0.000 0.572
Ru 0.000 0.000 0.716

Principal peaks in the range 10 to 90 degrees two-theta, in order of rising 2θ:
(1 0 2), 2θ 26.31, 3.388 Å, I = 18.6; (1 1 1), 2θ 31.42, 2.848 Å, I = 100.0; (0 0 4), 2θ 33.28, 2.692 Å, I = 23.3; (0 1 3), 2θ 33.49, 2.676 Å, I = 39.2; (1 0 4), 2θ 39.33, 2.291 Å, I = 22.5; (1 1 3), 2θ 39.52, 2.280 Å, I = 56.6; (2 0 0), 2θ 41.43, 2.179 Å, I = 27.7; (0 2 0), 2θ 45.18, 2.007 Å, I = 21.5; (2 1 3), 2θ 54.29, 1.690 Å, I = 19.7; (2 2 0), 2θ 62.96, 1.476 Å, I = 15.7

---

Record 5
Structure and simulated powder XRD pattern of MgMn10N8 (the PBE geometry in Alexandria; copper Kα).
Kinematic intensities with the Lorentz-polarization factor, no thermal factor.

Structure:
Lattice parameters (Å, degrees): 14.582 4.076 6.641 90.00 107.28 90.00
Space group C2/m (No. 12)
One atom of each set of equivalent atoms:
Mg 0.000 0.000 0.000
Mn 0.042 0.500 0.718
Mn 0.097 0.000 0.464
Mn 0.149 0.500 0.212
Mn 0.180 0.000 0.922
Mn 0.218 0.500 0.676
N 0.048 0.000 0.723
N 0.098 0.500 0.454
N 0.145 0.000 0.208
N 0.176 0.500 0.928

Principal peaks in the range 10 to 90 degrees two-theta, in order of rising 2θ:
(2 0 -1), 2θ 15.86, 5.586 Å, I = 17.3; (1 1 2), 2θ 37.99, 2.369 Å, I = 99.5; (5 1 -1), 2θ 38.22, 2.355 Å, I = 100.0; (4 0 -3), 2θ 42.96, 2.105 Å, I = 63.9; (0 2 0), 2θ 44.45, 2.038 Å, I = 69.4; (6 0 1), 2θ 45.43, 1.996 Å, I = 58.3; (4 2 -3), 2θ 63.53, 1.464 Å, I = 34.2; (2 0 4), 2θ 63.99, 1.455 Å, I = 15.7; (6 2 1), 2θ 65.44, 1.426 Å, I = 33.9; (10 2 -2), 2θ 81.81, 1.177 Å, I = 15.5

---

Record 6
Structure and simulated powder XRD pattern of Nd3ScTl4 (the PBE geometry in Alexandria; copper Kα).
Kinematic intensities with the Lorentz-polarization factor, no thermal factor.

Structure:
Lattice parameters (Å, degrees): 3.770 3.770 15.825 90.00 90.00 90.00
Space group P4/mmm (No. 123)
One atom of each set of equivalent atoms:
Nd 0.000 0.000 0.000
Nd 0.000 0.000 0.262
Sc 0.000 0.000 0.500
Tl 0.500 0.500 0.132
Tl 0.500 0.500 0.394

Principal peaks in the range 10 to 90 degrees two-theta, in order of rising 2θ:
(1 0 0), 2θ 23.60, 3.770 Å, I = 7.6; (1 0 3), 2θ 29.12, 3.067 Å, I = 9.1; (1 0 4), 2θ 32.82, 2.729 Å, I = 100.0; (1 1 0), 2θ 33.62, 2.665 Å, I = 51.8; (2 0 0), 2θ 48.29, 1.885 Å, I = 18.9; (1 1 8), 2θ 58.07, 1.588 Å, I = 14.4; (2 1 4), 2θ 59.62, 1.551 Å, I = 36.6; (2 0 8), 2θ 68.80, 1.365 Å, I = 8.7; (3 0 4), 2θ 80.14, 1.198 Å, I = 7.9; (3 1 0), 2θ 80.59, 1.192 Å, I = 8.6

---

Record 7
Structure and simulated powder XRD pattern of Tb7Dy2 (the PBE geometry in Alexandria; copper Kα).
Kinematic intensities with the Lorentz-polarization factor, no thermal factor.

Structure:
Lattice parameters (Å, degrees): 9.6818 9.6818 3.5208 90.00 90.00 120.00
Space group P-62m (No. 189)
One atom of each set of equivalent atoms:
Tb 0.0000 0.0000 0.0000
Tb 0.0000 0.3611 0.0000
Tb 0.0000 0.6960 0.5000
Dy 0.3333 0.6667 0.5000

Principal peaks in the range 10 to 90 degrees two-theta, in order of rising 2θ:
(1 1 1), 2θ 31.42, 2.847 Å, I = 77.5; (3 0 0), 2θ 32.02, 2.795 Å, I = 100.0; (2 0 1), 2θ 33.23, 2.696 Å, I = 26.3; (2 1 1), 2θ 38.21, 2.355 Å, I = 18.8; (2 2 1), 2θ 45.47, 1.995 Å, I = 22.9; (3 2 1), 2θ 54.35, 1.688 Å, I = 20.2; (4 1 1), 2θ 56.70, 1.624 Å, I = 20.0; (3 3 0), 2θ 57.08, 1.614 Å, I = 14.9; (3 0 2), 2θ 62.34, 1.490 Å, I = 29.8; (3 3 2), 2θ 80.80, 1.190 Å, I = 11.0

---

Record 8
Structure and simulated powder XRD pattern of TaAlS6 (the PBE geometry in Alexandria; copper Kα).
Kinematic intensities with the Lorentz-polarization factor, no thermal factor.

Structure:
Lattice parameters (Å, degrees): 6.015 6.020 6.053 108.77 119.05 100.49
Space group P-1 (No. 2)
One atom of each set of equivalent atoms:
Ta 0.000 0.000 0.000
Al 0.500 0.500 0.000
S 0.086 0.591 0.922
S 0.159 0.096 0.497
S 0.463 0.246 0.203

Principal peaks in the range 10 to 90 degrees two-theta, in order of rising 2θ:
(0 1 0), 2θ 17.08, 5.191 Å, I = 100.0; (1 0 0), 2θ 18.51, 4.793 Å, I = 93.0; (0 0 1), 2θ 19.09, 4.650 Å, I = 87.3; (1 -1 0), 2θ 19.37, 4.582 Å, I = 81.9; (2 0 -1), 2θ 30.33, 2.947 Å, I = 44.8; (1 0 -2), 2θ 31.45, 2.844 Å, I = 33.7; (1 -2 0), 2θ 31.73, 2.820 Å, I = 60.2; (2 1 -1), 2θ 37.98, 2.369 Å, I = 30.2; (-3 1 1), 2θ 46.12, 1.968 Å, I = 33.4; (-2 2 2), 2θ 52.07, 1.756 Å, I = 29.0